Calculated powder XRD pattern
Compound: Pr2Er7Tm
Radiation: copper Kα
Structure: a crystal structure in Alexandria, relaxed with GGA-PBE

Main lines, sorted by position (10° ≤ 2θ ≤ 80°):
index, Position (°2θ), I (rel.)
2 0 1, 30.90, 100
-1 2 1, 35.77, 34
2 2 0, 35.94, 17
1 4 1, 51.61, 24
0 4 3, 61.24, 21
4 2 1, 61.49, 14

Atomic structure:
```
data_Pr2Er7Tm
_chemical_formula_sum 'Pr2 Er7 Tm1'
_symmetry_space_group_name_H-M 'P -1'
_symmetry_Int_Tables_number 2
_cell_length_a 6.132
_cell_length_b 7.085
_cell_length_c 7.931
_cell_angle_alpha 77.07
_cell_angle_beta 74.98
_cell_angle_gamma 73.51
loop_
_symmetry_equiv_pos_as_xyz
'x,y,z'
'-x,-y,-z'
loop_
_atom_site_label
_atom_site_fract_x
_atom_site_fract_y
_atom_site_fract_z
Pr1 0.202 0.298 0.101
Er1 0.000 0.000 0.500
Er2 0.199 0.800 0.102
Er3 0.399 0.101 0.697
Er4 0.399 0.601 0.697
Tm1 0.000 0.500 0.500
```